# 1
Starting from DFT lattice parameters and positions (PBE), the X-ray powder pattern of PuSi2Ru2 was simulated for Cu Kα (weighted mean of Kα1 and Kα2).
Lines closer than 0.1° are merged.

Most intense lines, 2θ = 10–80°, in order of falling intensity:
2theta	I/Imax
35.64	100
23.25	56
34.98	42
43.54	37
74.78	23
57.03	21
58.27	19
65.49	18
36.77	18
49.93	16

Structural model:
```
PuSi2Ru2
1.0
-2.0787 2.0787 4.8884
2.0787 -2.0787 4.8884
2.0787 2.0787 -4.8884
Pu Si Ru
1 2 2
direct
0.0000 0.0000 0.0000
0.3703 0.3703 0.0000
0.6297 0.6297 0.0000
0.2500 0.7500 0.5000
0.7500 0.2500 0.5000
```

# 2
Starting from DFT lattice parameters and positions (PBE), the X-ray powder pattern of PbBr2O6 was simulated for Cu Kα (weighted mean of Kα1 and Kα2).
Lines closer than 0.1° are merged.

Most intense lines, 2θ = 10–80°, in order of falling intensity:
2theta	I/Imax
15.44	100
29.44	64
30.50	40
26.43	40
31.18	32
25.39	32
27.54	30
23.82	27
26.94	25
40.28	23

Structural model:
```
PbBr2O6
1.0
6.1195 -3.9475 0.0000
6.1195 3.9475 0.0000
-5.3030 0.0000 6.4767
Pb Br O
2 4 12
direct
0.1557 0.8443 0.7500
0.8443 0.1557 0.2500
0.2962 0.3194 0.3101
0.3194 0.2962 0.8101
0.6806 0.7038 0.1899
0.7038 0.6806 0.6899
0.0832 0.1927 0.6480
0.1927 0.0832 0.1480
0.2180 0.4112 0.5033
0.2365 0.5727 0.9147
0.4112 0.2180 0.0033
0.4273 0.7635 0.5853
0.5727 0.2365 0.4147
0.5888 0.7820 0.9967
0.7635 0.4273 0.0853
0.7820 0.5888 0.4967
0.8073 0.9168 0.8520
0.9168 0.8073 0.3520
```

# 3
Starting from DFT lattice parameters and positions (PBE), the X-ray powder pattern of LiSm2SO2 was simulated for Cu Kα (weighted mean of Kα1 and Kα2).
Lines closer than 0.1° are merged.

Most intense lines, 2θ = 10–80°, in order of falling intensity:
2theta	I/Imax
28.45	100
35.61	50
45.29	46
12.06	28
59.65	28
25.67	22
36.74	20
54.34	17
56.76	16
73.33	14

Structural model:
```
LiSm2SO2
1.0
4.0067 0.0000 0.0000
-2.0033 3.4699 0.0000
0.0000 0.0000 7.3391
Li Sm S O
1 2 1 2
direct
0.0000 0.0000 0.0000
0.0000 0.0000 0.4037
0.3333 0.6667 0.7580
0.6667 0.3333 0.0793
0.0000 0.0000 0.7356
0.3333 0.6667 0.4425
```

# 4
Starting from DFT lattice parameters and positions (PBE), the X-ray powder pattern of Na2Cd3Si3O10 was simulated for Cu Kα (weighted mean of Kα1 and Kα2).
Lines closer than 0.1° are merged.

Most intense lines, 2θ = 10–80°, in order of falling intensity:
2theta	I/Imax
24.35	100
10.56	73
30.44	58
32.28	46
34.64	44
29.77	31
44.82	26
33.33	22
34.82	20
33.17	19

Structural model:
```
Na2Cd3Si3O10
1.0
8.4035 -2.5939 0.0000
8.4035 2.5939 0.0000
-0.8545 0.0000 11.1188
Na Cd Si O
4 6 6 20
direct
0.1888 0.7154 0.5322
0.2846 0.8112 0.9678
0.7154 0.1888 0.0322
0.8112 0.2846 0.4678
0.0000 0.5000 0.5000
0.0536 0.6294 0.7949
0.3706 0.9464 0.7051
0.5000 0.0000 0.0000
0.6294 0.0536 0.2949
0.9464 0.3706 0.2051
0.1573 0.5416 0.1016
0.1806 0.8194 0.2500
0.4584 0.8427 0.3984
0.5416 0.1573 0.6016
0.8194 0.1806 0.7500
0.8427 0.4584 0.8984
0.0317 0.0596 0.6523
0.0596 0.0317 0.1523
0.1517 0.1635 0.3960
0.1635 0.1517 0.8960
0.2466 0.3149 0.1712
0.2911 0.4125 0.9678
0.3149 0.2466 0.6712
0.3245 0.5513 0.1733
0.4125 0.2911 0.4678
0.4487 0.6755 0.3267
0.5513 0.3245 0.6733
0.5875 0.7089 0.5322
0.6755 0.4487 0.8267
0.6851 0.7534 0.3288
0.7089 0.5875 0.0322
0.7534 0.6851 0.8288
0.8365 0.8483 0.1040
0.8483 0.8365 0.6040
0.9404 0.9683 0.8477
0.9683 0.9404 0.3477
```

# 5
Starting from DFT lattice parameters and positions (PBE), the X-ray powder pattern of GdCl3 was simulated for Cu Kα (weighted mean of Kα1 and Kα2).
Lines closer than 0.1° are merged.

Most intense lines, 2θ = 10–80°, in order of falling intensity:
2theta	I/Imax
13.52	100
35.16	80
42.75	70
25.75	58
23.53	46
41.36	30
66.31	24
62.35	17
32.30	17
27.24	16

Structural model:
```
GdCl3
1.0
7.5615 0.0000 0.0000
-3.7807 6.5484 0.0000
0.0000 0.0000 4.0741
Gd Cl
2 6
direct
0.3333 0.6667 0.2500
0.6667 0.3333 0.7500
0.0913 0.3958 0.7500
0.3044 0.9087 0.7500
0.3958 0.3044 0.2500
0.6042 0.6956 0.7500
0.6956 0.0913 0.2500
0.9087 0.6042 0.2500
```

# 6
Starting from DFT lattice parameters and positions (PBE), the X-ray powder pattern of Rb2InCl5O was simulated for Cu Kα (weighted mean of Kα1 and Kα2).
Lines closer than 0.1° are merged.

Most intense lines, 2θ = 10–80°, in order of falling intensity:
2theta	I/Imax
15.52	100
24.04	91
13.99	81
33.35	74
28.98	71
35.13	45
28.29	36
49.22	34
31.33	34
26.45	33

Structural model:
```
Rb2InCl5O
1.0
13.4807 0.0000 0.0000
0.0000 10.7471 0.0000
0.0000 0.0000 7.8302
Rb In Cl O
8 4 20 4
direct
0.1401 0.0125 0.1623
0.1401 0.4875 0.1623
0.3599 0.5125 0.6623
0.3599 0.9875 0.6623
0.6401 0.0125 0.3377
0.6401 0.4875 0.3377
0.8599 0.5125 0.8377
0.8599 0.9875 0.8377
0.1101 0.2500 0.7298
0.3899 0.7500 0.2298
0.6101 0.2500 0.7702
0.8899 0.7500 0.2702
0.0094 0.7500 0.0282
0.1008 0.0178 0.7004
0.1008 0.4822 0.7004
0.2055 0.2500 0.4087
0.2311 0.7500 0.3840
0.2689 0.2500 0.8840
0.2945 0.7500 0.9087
0.3992 0.5178 0.2004
0.3992 0.9822 0.2004
0.4906 0.2500 0.5282
0.5094 0.7500 0.4718
0.6008 0.0178 0.7996
0.6008 0.4822 0.7996
0.7055 0.2500 0.0913
0.7311 0.7500 0.1160
0.7689 0.2500 0.6160
0.7945 0.7500 0.5913
0.8992 0.5178 0.2997
0.8992 0.9822 0.2997
0.9906 0.2500 0.9718
0.0338 0.2500 0.4839
0.4662 0.7500 0.9839
0.5338 0.2500 0.0161
0.9662 0.7500 0.5161
```

# 7
Starting from DFT lattice parameters and positions (PBE), the X-ray powder pattern of BaVS3 was simulated for Cu Kα (weighted mean of Kα1 and Kα2).
Lines closer than 0.1° are merged.

Most intense lines, 2θ = 10–80°, in order of falling intensity:
2theta	I/Imax
34.31	100
21.78	54
26.39	50
34.62	47
35.22	32
21.90	30
44.39	30
26.08	28
31.64	25
54.32	20

Structural model:
```
BaVS3
1.0
3.4165 -5.8288 0.0000
3.4165 5.8288 0.0000
0.0000 0.0000 5.6561
Ba V S
2 2 6
direct
0.1635 0.8365 0.5000
0.8365 0.1635 0.0000
0.4755 0.5245 0.7626
0.5245 0.4755 0.2626
0.1802 0.3401 0.4909
0.3291 0.6709 0.0079
0.3401 0.1802 0.9909
0.6599 0.8198 0.4909
0.6709 0.3291 0.5079
0.8198 0.6599 0.9909
```